# CsAgB2H8
Simulated X-ray diffraction stick pattern, λ = 1.5418 Å (Cu Kα). Input: a cell relaxed with GGA-PBE.

Largest 12 diffraction maxima, in order of rising 2θ, 2θ from 5° to 70°:
2theta  intensity
22.25  100
25.92  24
26.88  94
35.90  42
40.72  28
42.65  19
44.81  34
45.41  20
48.90  13
56.93  17
59.20  18
65.93  13

Atomic structure:
a b c (Å): 5.0030 5.0030 20.6282
angles (deg): 90.00 90.00 120.00
Space group R-3 (No. 148, hexagonal axes)
Symmetry-distinct sites (fractional):
Cs 0.0000 0.0000 0.0000
Ag 0.0000 0.0000 0.5000
B 0.0000 0.0000 0.2429
H 0.0000 0.0000 0.3021
H 0.0623 0.5300 0.8894